# KCo2PbCl8
Calculated XRD peak list, Cu Kα. Input: a crystal structure in Alexandria, relaxed with PBE.

Peak list (10 most intense, 2θ from 10° to 90°, in order of rising 2θ)
2θ = 15.9°, I = 46; 2θ = 20.0°, I = 100; 2θ = 22.1°, I = 34; 2θ = 27.1°, I = 47; 2θ = 29.6°, I = 38; 2θ = 33.2°, I = 43; 2θ = 33.9°, I = 27; 2θ = 44.0°, I = 26; 2θ = 47.3°, I = 40; 2θ = 47.9°, I = 39

Cell and atoms:
```
12
Lattice="3.287 1.898 9.471 -3.287 1.898 9.471 0.000 -3.795 9.471" Properties=species:S:1:pos:R:3 pbc="T T T"
K 0.000 0.000 0.000
Co 0.000 0.000 7.187
Co 0.000 0.000 21.228
Pb 0.000 0.000 14.207
Cl -2.361 -0.005 12.478
Cl -1.177 -2.047 15.936
Cl 0.000 0.000 9.358
Cl 1.184 -2.042 12.478
Cl -1.184 2.042 15.936
Cl 0.000 0.000 19.056
Cl 1.177 2.047 12.478
Cl 2.361 0.005 15.936
```